For Cs2NaCoF6, a DFT-relaxed cell (GGA+U, the Materials Project) gives the computed X-ray diffraction stick pattern in this record (Cu Kα, 1.54184 Å).
Kinematic intensities with the Lorentz-polarization factor, no thermal factor.

Cell and atoms:
a = 10.803 Å, b = 10.803 Å, c = 10.803 Å
α = 33.79°, β = 33.79°, γ = 33.79°
Element x y z (fractional)
Cs (0.128, 0.128, 0.128)
Cs (0.284, 0.284, 0.284)
Cs (0.716, 0.716, 0.716)
Cs (0.872, 0.872, 0.872)
Na (0.404, 0.404, 0.404)
Na (0.596, 0.596, 0.596)
Co (0.000, 0.000, 0.000)
Co (0.500, 0.500, 0.500)
F (0.178, 0.178, 0.749)
F (0.178, 0.749, 0.178)
F (0.185, 0.602, 0.602)
F (0.251, 0.822, 0.822)
F (0.398, 0.398, 0.815)
F (0.398, 0.815, 0.398)
F (0.602, 0.185, 0.602)
F (0.602, 0.602, 0.185)
F (0.749, 0.178, 0.178)
F (0.815, 0.398, 0.398)
F (0.822, 0.251, 0.822)
F (0.822, 0.822, 0.251)

Principal peaks in the range 10° ≤ 2θ ≤ 90°, by intensity:
two_theta, d_spacing, Rel. int.
28.43, 3.139, 100
26.20, 3.402, 62
39.05, 2.307, 50
21.89, 4.060, 43
36.17, 2.483, 35
50.39, 1.811, 31

=====

For KLaHfFeO6, a DFT-relaxed cell (GGA+U, the Materials Project) gives the computed X-ray diffraction stick pattern in this record (Cu Kα, 1.54184 Å).
Kinematic intensities with the Lorentz-polarization factor, no thermal factor.

Cell and atoms:
a = 5.675 Å, b = 5.675 Å, c = 5.675 Å
α = 60.00°, β = 60.00°, γ = 60.00°
Element x y z (fractional)
K (0.000, 0.000, 0.000)
La (0.500, 0.500, 0.500)
Hf (0.750, 0.750, 0.750)
Fe (0.250, 0.250, 0.250)
O (0.006, 0.006, 0.494)
O (0.006, 0.494, 0.006)
O (0.006, 0.494, 0.494)
O (0.494, 0.006, 0.006)
O (0.494, 0.006, 0.494)
O (0.494, 0.494, 0.006)

Principal peaks in the range 10° ≤ 2θ ≤ 90°, by intensity:
two_theta, d_spacing, Rel. int.
31.53, 2.837, 100
56.15, 1.638, 39
19.16, 4.633, 33
45.19, 2.006, 32
37.16, 2.420, 21
65.83, 1.419, 19